Starting from a crystal structure in Alexandria, relaxed with GGA+U, the PXRD pattern of Rb3LiErV2O8 was calculated for Cu Kα (λ = 1.5418 Å).

The 12 most intense peaks (10 to 90 degrees two-theta), most intense first:
(2 1 0), 29.5°, 3.030 Å, I 100; (0 0 1), 11.3°, 7.863 Å, I 82; (1 -1 0), 29.0°, 3.083 Å, I 81; (1 0 2), 27.9°, 3.192 Å, I 75; (1 2 0), 29.3°, 3.049 Å, I 65; (1 1 -2), 29.9°, 2.985 Å, I 60; (0 1 2), 26.9°, 3.315 Å, I 56; (2 0 -2), 41.5°, 2.174 Å, I 33; (2 2 2), 39.1°, 2.305 Å, I 32; (0 2 -2), 42.7°, 2.117 Å, I 30; (0 2 -1), 36.6°, 2.457 Å, I 29; (1 2 1), 30.1°, 2.965 Å, I 27

Structure:
a = 6.079 Å, b = 6.142 Å, c = 7.922 Å
α = 83.15°, β = 85.51°, γ = 60.67°
Positions (direct):
1 Rb 0.000 0.000 0.000
2 Rb 0.311 0.283 0.365
3 Rb 0.681 0.516 0.645
4 Li 0.639 0.973 0.782
5 Er 0.639 0.647 0.165
6 V 0.302 0.351 0.930
7 V 0.971 0.939 0.427
8 O 0.291 0.794 0.363
9 O 0.358 0.293 0.715
10 O 0.452 0.511 0.015
11 O 0.493 0.012 0.017
12 O 0.825 0.254 0.339
13 O 0.826 0.784 0.351
14 O 0.929 0.939 0.646
15 O 0.969 0.503 0.998